1.
This entry pairs a crystal structure of In3CuS4 with its simulated PXRD pattern. Radiation: Cu Kα (λ = 1.5418 Å). Structure: a DFT-relaxed cell (PBE, Alexandria).
Peak positions follow from Bragg's law for the DFT cell and can differ from measured ones.

Structural model:
```
In3CuS4
1.0
5.9031 0.0000 0.0000
0.0000 5.9031 0.0000
0.0000 0.0000 12.0469
In Cu S
6 2 8
Direct
0.0000 0.0000 0.0000 In
0.0000 0.5000 0.2500 In
0.0000 0.5000 0.7500 In
0.5000 0.0000 0.2500 In
0.5000 0.0000 0.7500 In
0.5000 0.5000 0.5000 In
0.0000 0.0000 0.5000 Cu
0.5000 0.5000 0.0000 Cu
0.2102 0.2102 0.3693 S
0.2102 0.7898 0.6307 S
0.2898 0.2898 0.8693 S
0.2898 0.7102 0.1307 S
0.7102 0.2898 0.1307 S
0.7102 0.7102 0.8693 S
0.7898 0.2102 0.6307 S
0.7898 0.7898 0.3693 S
```

Main lines, by intensity (15° ≤ 2θ ≤ 90°):
Position (°2θ), I (rel.)
25.97, 1000
42.90, 374
51.23, 287
43.35, 173
30.28, 159
50.44, 155
68.65, 112
79.24, 95
29.66, 75
53.41, 72
85.39, 61
69.32, 59

***

2.
This entry pairs a crystal structure of AcGa4Ni with its simulated PXRD pattern. Radiation: Cu Kα (λ = 1.5418 Å). Structure: a DFT-relaxed cell (PBE, Alexandria).
Peak positions follow from Bragg's law for the DFT cell and can differ from measured ones.

Structural model:
```
AcGa4Ni
1.0
2.1449 -8.1410 0.0000
2.1449 8.1410 0.0000
0.0000 0.0000 6.7916
Ac Ga Ni
2 8 2
Direct
0.1152 0.8848 0.7500 Ac
0.8848 0.1152 0.2500 Ac
0.0787 0.9213 0.2500 Ga
0.3082 0.6918 0.5577 Ga
0.3082 0.6918 0.9423 Ga
0.5000 0.5000 0.0000 Ga
0.5000 0.5000 0.5000 Ga
0.6918 0.3082 0.0577 Ga
0.6918 0.3082 0.4423 Ga
0.9213 0.0787 0.7500 Ga
0.2246 0.7754 0.2500 Ni
0.7754 0.2246 0.7500 Ni
```

Main lines, by intensity (15° ≤ 2θ ≤ 90°):
Position (°2θ), I (rel.)
34.12, 1000
34.58, 690
42.13, 376
35.63, 352
34.39, 298
37.10, 271
29.62, 234
42.65, 231
17.00, 211
56.33, 189
37.63, 183
61.09, 170

***

3.
This entry pairs a crystal structure of Ca3In with its simulated PXRD pattern. Radiation: Cu Kα (λ = 1.5418 Å). Structure: a DFT-relaxed cell (PBE, Alexandria).
Peak positions follow from Bragg's law for the DFT cell and can differ from measured ones.

Structural model:
```
Ca3In
1.0
9.0123 0.0000 0.0000
0.0000 9.9759 0.0000
0.0000 0.0000 6.4657
Ca In
12 4
Direct
0.0282 0.2500 0.0957 Ca
0.1719 0.0608 0.6237 Ca
0.1719 0.4392 0.6237 Ca
0.3281 0.5608 0.1237 Ca
0.3281 0.9392 0.1237 Ca
0.4718 0.7500 0.5957 Ca
0.5282 0.2500 0.4043 Ca
0.6719 0.0608 0.8763 Ca
0.6719 0.4392 0.8763 Ca
0.8281 0.5608 0.3763 Ca
0.8281 0.9392 0.3763 Ca
0.9718 0.7500 0.9043 Ca
0.1246 0.7500 0.4393 In
0.3754 0.2500 0.9393 In
0.6246 0.7500 0.0607 In
0.8754 0.2500 0.5607 In
```

Main lines, by intensity (15° ≤ 2θ ≤ 90°):
Position (°2θ), I (rel.)
31.85, 1000
19.09, 796
30.72, 791
32.87, 737
33.49, 700
16.88, 683
17.78, 572
30.09, 519
34.53, 502
34.12, 459
21.64, 425
50.37, 379

***

4.
This entry pairs a crystal structure of Hg2Pd2Au7 with its simulated PXRD pattern. Radiation: Cu Kα (λ = 1.5418 Å). Structure: a DFT-relaxed cell (PBE, Alexandria).
Peak positions follow from Bragg's law for the DFT cell and can differ from measured ones.

Structural model:
```
Hg2Pd2Au7
1.0
3.6963 -5.0584 0.0000
3.6963 5.0584 0.0000
-0.9760 0.0000 6.7172
Hg Pd Au
2 2 7
Direct
0.2470 0.2470 0.2213 Hg
0.7530 0.7530 0.7787 Hg
0.3656 0.6344 0.0000 Pd
0.6344 0.3656 0.0000 Pd
0.0000 0.0000 0.5000 Au
0.0161 0.7257 0.1481 Au
0.2743 0.9839 0.8519 Au
0.3739 0.3739 0.6362 Au
0.6261 0.6261 0.3638 Au
0.7257 0.0161 0.1481 Au
0.9839 0.2743 0.8519 Au
```

Main lines, by intensity (15° ≤ 2θ ≤ 90°):
Position (°2θ), I (rel.)
38.46, 1000
38.57, 838
17.53, 782
41.41, 720
38.93, 710
22.00, 444
38.02, 408
46.76, 391
45.93, 334
32.86, 323
34.47, 299
64.92, 245

***

5.
This entry pairs a crystal structure of KInGeIr with its simulated PXRD pattern. Radiation: Cu Kα (λ = 1.5418 Å). Structure: a DFT-relaxed cell (PBE, Alexandria).
Peak positions follow from Bragg's law for the DFT cell and can differ from measured ones.

Structural model:
```
KInGeIr
1.0
4.1691 0.0000 0.0000
0.0000 4.1691 0.0000
0.0000 0.0000 13.1175
K In Ge Ir
2 2 2 2
Direct
0.2500 0.2500 0.2363 K
0.7500 0.7500 0.7637 K
0.2500 0.7500 0.5000 In
0.7500 0.2500 0.5000 In
0.2500 0.2500 0.8974 Ge
0.7500 0.7500 0.1026 Ge
0.2500 0.7500 0.0000 Ir
0.7500 0.2500 0.0000 Ir
```

Main lines, by intensity (15° ≤ 2θ ≤ 90°):
Position (°2θ), I (rel.)
33.32, 1000
41.17, 585
52.08, 415
43.41, 402
45.67, 328
27.19, 316
78.15, 221
30.32, 216
51.98, 208
73.23, 198
86.13, 197
29.61, 159